(1)
For KPr9Si6O26, a DFT-relaxed cell (GGA-PBE, the Materials Project) gives the theoretical X-ray powder pattern in this record (λ = 1.5418 Å (Cu Kα)).

Most intense lines, 2θ = 10–90°, low angle first:
- 21.11°, rel. 28.6
- 22.05°, rel. 28.0
- 26.88°, rel. 38.0
- 28.05°, rel. 34.2
- 30.72°, rel. 100.0
- 30.87°, rel. 51.6
- 31.90°, rel. 28.5
- 44.98°, rel. 27.7
- 47.38°, rel. 34.7
- 50.20°, rel. 29.0

Crystal structure
Cell lengths 9.717, 9.717, 7.217 Å; angles 90.00, 90.00, 120.00 degrees
Sites, in units of the cell vectors:
K 0.000 0.000 0.000
Pr 0.000 0.000 0.499
Pr 0.092 0.658 0.250
Pr 0.100 0.421 0.753
Pr 0.321 0.900 0.753
Pr 0.342 0.434 0.250
Pr 0.566 0.908 0.250
Pr 0.579 0.679 0.753
Pr 0.667 0.333 0.000
Pr 0.667 0.333 0.501
Si 0.307 0.038 0.255
Si 0.365 0.300 0.745
Si 0.700 0.065 0.745
Si 0.732 0.693 0.255
Si 0.935 0.635 0.745
Si 0.962 0.268 0.255
O 0.021 0.826 0.730
O 0.082 0.328 0.436
O 0.083 0.338 0.075
O 0.174 0.195 0.730
O 0.219 0.144 0.270
O 0.246 0.918 0.436
O 0.256 0.917 0.075
O 0.333 0.667 0.257
O 0.333 0.667 0.752
O 0.426 0.413 0.933
O 0.439 0.422 0.566
O 0.461 0.198 0.751
O 0.502 0.155 0.251
O 0.578 0.017 0.566
O 0.587 0.013 0.933
O 0.652 0.498 0.251
O 0.662 0.744 0.075
O 0.672 0.754 0.436
O 0.738 0.539 0.751
O 0.802 0.262 0.751
O 0.805 0.979 0.730
O 0.845 0.348 0.251
O 0.856 0.075 0.270
O 0.925 0.781 0.270
O 0.983 0.561 0.566
O 0.987 0.574 0.933



(2)
For Ca3Sn2S7, a DFT-relaxed cell (GGA-PBE, the Materials Project) gives the theoretical X-ray powder pattern in this record (λ = 1.5418 Å (Cu Kα)).

Most intense lines, 2θ = 10–90°, low angle first:
- 15.16°, rel. 37.1
- 18.33°, rel. 60.8
- 24.73°, rel. 26.3
- 26.21°, rel. 100.0
- 36.32°, rel. 33.9
- 38.50°, rel. 17.1
- 39.16°, rel. 30.1
- 39.56°, rel. 25.5
- 40.02°, rel. 26.4
- 46.24°, rel. 62.0

Crystal structure
Cell lengths 12.177, 12.177, 7.201 Å; angles 90.00, 90.00, 32.46 degrees
Sites, in units of the cell vectors:
Ca 0.056 0.569 0.685
Ca 0.218 0.782 0.500
Ca 0.431 0.944 0.685
Ca 0.569 0.056 0.185
Ca 0.782 0.218 0.000
Ca 0.944 0.431 0.185
Sn 0.142 0.650 0.101
Sn 0.350 0.858 0.101
Sn 0.650 0.142 0.601
Sn 0.858 0.350 0.601
S 0.010 0.140 0.282
S 0.071 0.338 0.552
S 0.140 0.010 0.782
S 0.313 0.423 0.394
S 0.338 0.071 0.052
S 0.385 0.615 0.139
S 0.423 0.313 0.894
S 0.577 0.687 0.394
S 0.615 0.385 0.639
S 0.662 0.929 0.552
S 0.687 0.577 0.894
S 0.860 0.990 0.282
S 0.929 0.662 0.052
S 0.990 0.860 0.782



Number 2 is which compound? Ca3Sn2S7